Ca3NdMn2O8: theoretical X-ray diffraction stick pattern (Cu Ka), based on a crystal structure in Alexandria, relaxed with PBE+U.
Peak positions follow from Bragg's law for the DFT cell and can differ from measured ones.

Top 6 peaks for 2θ = 10–90°, in order of rising 2θ:
| 2θ/deg | I (rel.) |
| --- | --- |
| 14.90 | 34.5 |
| 32.41 | 100.0 |
| 32.88 | 83.5 |
| 45.14 | 24.2 |
| 47.18 | 50.2 |
| 58.40 | 36.7 |

Structural model:
a = 3.853 Å, b = 3.853 Å, c = 11.891 Å
α = 90.00°, β = 90.00°, γ = 90.00°
Atoms (fractional coordinates):
Ca: 0.000 0.000 0.000
Ca: 0.000 0.000 0.276
Ca: 0.500 0.500 0.791
Nd: 0.500 0.500 0.498
Mn: 0.000 0.000 0.646
Mn: 0.500 0.500 0.139
O: 0.000 0.000 0.472
O: 0.000 0.000 0.808
O: 0.000 0.500 0.142
O: 0.000 0.500 0.636
O: 0.500 0.000 0.142
O: 0.500 0.000 0.636
O: 0.500 0.500 0.308
O: 0.500 0.500 0.976

---

SrCaNdMnO6: theoretical X-ray diffraction stick pattern (Cu Ka), based on a crystal structure in Alexandria, relaxed with PBE+U.
Peak positions follow from Bragg's law for the DFT cell and can differ from measured ones.

Top 6 peaks for 2θ = 10–90°, in order of rising 2θ:
| 2θ/deg | I (rel.) |
| --- | --- |
| 30.92 | 100.0 |
| 31.83 | 62.8 |
| 38.49 | 27.3 |
| 45.63 | 29.0 |
| 54.41 | 26.1 |
| 56.14 | 47.0 |

Structural model:
a = 5.623 Å, b = 5.623 Å, c = 8.430 Å
α = 90.00°, β = 90.00°, γ = 90.00°
Atoms (fractional coordinates):
Sr: 0.000 0.500 0.250
Sr: 0.500 0.000 0.750
Ca: 0.000 0.000 0.500
Ca: 0.500 0.500 0.000
Nd: 0.000 0.500 0.750
Nd: 0.500 0.000 0.250
Mn: 0.000 0.000 0.000
Mn: 0.500 0.500 0.500
O: 0.000 0.000 0.232
O: 0.000 0.000 0.768
O: 0.147 0.306 0.989
O: 0.194 0.353 0.511
O: 0.306 0.853 0.011
O: 0.353 0.806 0.489
O: 0.500 0.500 0.268
O: 0.500 0.500 0.732
O: 0.647 0.194 0.489
O: 0.694 0.147 0.011
O: 0.806 0.647 0.511
O: 0.853 0.694 0.989

---

CaNd2Ti2Mn2O12: theoretical X-ray diffraction stick pattern (Cu Ka), based on a crystal structure in Alexandria, relaxed with PBE+U.
Peak positions follow from Bragg's law for the DFT cell and can differ from measured ones.

Top 6 peaks for 2θ = 10–90°, in order of rising 2θ:
| 2θ/deg | I (rel.) |
| --- | --- |
| 20.02 | 63.6 |
| 20.14 | 68.6 |
| 32.98 | 100.0 |
| 33.13 | 68.5 |
| 38.99 | 37.3 |
| 47.35 | 49.2 |

Structural model:
a = 5.386 Å, b = 5.434 Å, c = 7.677 Å
α = 89.84°, β = 89.95°, γ = 89.55°
Atoms (fractional coordinates):
Ca: 0.000 0.000 0.000
Nd: 0.014 0.072 0.501
Nd: 0.513 0.493 0.000
Ti: 0.008 0.541 0.735
Ti: 0.505 0.019 0.264
Mn: 0.005 0.533 0.250
Mn: 0.505 0.028 0.752
O: 0.074 0.542 0.005
O: 0.207 0.823 0.276
O: 0.211 0.828 0.725
O: 0.274 0.306 0.281
O: 0.276 0.305 0.721
O: 0.436 0.047 0.996
O: 0.572 0.018 0.503
O: 0.723 0.758 0.798
O: 0.728 0.754 0.204
O: 0.780 0.246 0.788
O: 0.789 0.253 0.213
O: 0.942 0.526 0.498